Diffraction record for Ba7SiB3NO13. The powder XRD pattern is calculated, not measured: it uses a DFT-relaxed cell (GGA-PBE, the Materials Project) and CuKα.
No peak broadening, texture or thermal motion is included.

Principal peaks in the range 10° ≤ 2θ ≤ 90°, by angle:
two_theta	d (Å)	intensity	h k l
21.7	4.095	45	2 1 0
25.6	3.486	64	1 2 0
26.5	3.360	48	1 1 -3
27.0	3.304	47	3 1 -2
29.9	2.989	85	0 2 2
30.1	2.966	87	2 2 -2
31.2	2.865	100	2 0 -4
31.8	2.813	37	4 0 -2
45.9	1.978	36	3 3 0
48.0	1.896	35	5 1 0

Structure:
```
data_Ba7SiB3NO13
_chemical_formula_sum 'Ba14 Si2 B6 N2 O26'
_space_group_name_H-M_alt 'P 1 21 1'
_space_group_IT_number 4
_space_group_name_Hall 'P 2yb'
_cell_length_a 11.253
_cell_length_b 7.452
_cell_length_c 11.449
_cell_angle_alpha 90.00
_cell_angle_beta 119.29
_cell_angle_gamma 90.00
loop_
_atom_site_label
_atom_site_type_symbol
_atom_site_fract_x
_atom_site_fract_y
_atom_site_fract_z
Ba1 Ba 0.020 0.000 0.045
Ba2 Ba 0.036 0.000 0.488
Ba3 Ba 0.163 0.638 0.327
Ba4 Ba 0.240 0.822 0.862
Ba5 Ba 0.366 0.320 0.128
Ba6 Ba 0.368 0.334 0.725
Ba7 Ba 0.453 0.000 0.485
Si1 Si 0.165 0.229 0.329
B1 B 0.141 0.292 0.816
B2 B 0.316 0.790 0.173
B3 B 0.319 0.779 0.630
N1 N 0.499 0.643 0.000
O1 O 0.036 0.305 0.346
O2 O 0.097 0.195 0.894
O3 O 0.103 0.231 0.687
O4 O 0.149 0.307 0.187
O5 O 0.166 0.006 0.329
O6 O 0.189 0.718 0.084
O7 O 0.201 0.678 0.592
O8 O 0.221 0.444 0.868
O9 O 0.308 0.308 0.454
O10 O 0.332 0.950 0.683
O11 O 0.362 0.943 0.138
O12 O 0.395 0.706 0.297
O13 O 0.423 0.707 0.611
```


Diffraction record for Tb3Dy. The powder XRD pattern is calculated, not measured: it uses a DFT-relaxed cell (GGA-PBE, the Materials Project) and CuKα.
No peak broadening, texture or thermal motion is included.

Principal peaks in the range 10° ≤ 2θ ≤ 90°, by angle:
two_theta	d (Å)	intensity	h k l
30.7	2.910	100	1 1 2
35.6	2.520	51	2 0 0
51.3	1.782	36	2 2 0
61.0	1.520	43	3 1 2
64.0	1.455	12	2 2 4
75.4	1.260	6	4 0 0
83.6	1.156	18	3 3 2
86.3	1.127	17	4 2 0

Structure:
```
data_Tb3Dy
_chemical_formula_sum 'Tb6 Dy2'
_space_group_name_H-M_alt 'I 4/m m m'
_space_group_IT_number 139
_space_group_name_Hall '-I 4 2'
_cell_length_a 5.041
_cell_length_b 5.041
_cell_length_c 10.080
_cell_angle_alpha 90.00
_cell_angle_beta 90.00
_cell_angle_gamma 90.00
loop_
_atom_site_label
_atom_site_type_symbol
_atom_site_fract_x
_atom_site_fract_y
_atom_site_fract_z
Tb1 Tb 0.000 0.000 0.000
Tb2 Tb 0.000 0.500 0.250
Dy1 Dy 0.000 0.000 0.500
```


Diffraction record for La4Re6O19. The powder XRD pattern is calculated, not measured: it uses a DFT-relaxed cell (GGA-PBE, the Materials Project) and CuKα.
No peak broadening, texture or thermal motion is included.

Principal peaks in the range 10° ≤ 2θ ≤ 90°, by angle:
two_theta	d (Å)	intensity	h k l
13.7	6.470	25	1 1 0
19.4	4.575	34	2 0 0
23.8	3.735	36	2 1 1
30.9	2.893	100	3 0 1
36.8	2.445	53	3 1 2
41.9	2.157	14	3 3 0
48.8	1.868	14	4 2 2
50.9	1.794	65	4 3 1
55.0	1.671	21	5 1 2
60.7	1.525	32	6 0 0

Structure:
```
data_La4Re6O19
_chemical_formula_sum 'La8 Re12 O38'
_space_group_name_H-M_alt 'I 2 3'
_space_group_IT_number 197
_space_group_name_Hall 'I 2 2 3'
_cell_length_a 9.150
_cell_length_b 9.150
_cell_length_c 9.150
_cell_angle_alpha 90.00
_cell_angle_beta 90.00
_cell_angle_gamma 90.00
loop_
_atom_site_label
_atom_site_type_symbol
_atom_site_fract_x
_atom_site_fract_y
_atom_site_fract_z
La1 La 0.156 0.156 0.844
Re1 Re 0.000 0.133 0.500
O1 O 0.000 0.000 0.000
O2 O 0.000 0.000 0.321
O3 O 0.013 0.283 0.343
```


Diffraction record for SrBe2B2O6. The powder XRD pattern is calculated, not measured: it uses a DFT-relaxed cell (GGA-PBE, the Materials Project) and CuKα.
No peak broadening, texture or thermal motion is included.

Principal peaks in the range 10° ≤ 2θ ≤ 90°, by angle:
two_theta	d (Å)	intensity	h k l
20.9	4.243	28	2 0 0
22.1	4.015	49	1 1 -1
22.8	3.892	32	1 0 2
28.9	3.093	62	3 0 -2
31.7	2.826	100	0 1 3
31.8	2.814	66	2 1 -3
43.4	2.087	38	1 1 -5
43.9	2.062	29	2 1 3
44.2	2.047	36	4 1 -3
45.4	1.999	37	2 2 0

Structure:
```
data_SrBe2B2O6
_chemical_formula_sum 'Sr4 Be8 B8 O24'
_space_group_name_H-M_alt 'P 1 21/c 1'
_space_group_IT_number 14
_space_group_name_Hall '-P 2ybc'
_cell_length_a 9.338
_cell_length_b 4.530
_cell_length_c 11.938
_cell_angle_alpha 90.00
_cell_angle_beta 114.67
_cell_angle_gamma 90.00
loop_
_atom_site_label
_atom_site_type_symbol
_atom_site_fract_x
_atom_site_fract_y
_atom_site_fract_z
Sr1 Sr 0.230 0.027 0.155
Be1 Be 0.091 0.561 0.307
Be2 Be 0.422 0.597 0.047
B1 B 0.130 0.092 0.424
B2 B 0.405 0.562 0.356
O1 O 0.059 0.582 0.818
O2 O 0.077 0.121 0.920
O3 O 0.247 0.511 0.031
O4 O 0.248 0.008 0.788
O5 O 0.440 0.663 0.914
O6 O 0.479 0.628 0.640
```


Diffraction record for MgSn3. The powder XRD pattern is calculated, not measured: it uses a DFT-relaxed cell (GGA-PBE, the Materials Project) and CuKα.
No peak broadening, texture or thermal motion is included.

Principal peaks in the range 10° ≤ 2θ ≤ 90°, by angle:
two_theta	d (Å)	intensity	h k l
15.7	5.645	13	0 2 0
18.1	4.913	19	0 1 1
31.1	2.872	28	1 0 1
31.7	2.822	43	0 4 0
35.1	2.560	100	1 2 1
36.6	2.456	47	0 2 2
45.0	2.013	20	1 4 1
57.6	1.601	16	1 0 3
58.7	1.574	23	1 6 1
67.2	1.392	37	1 4 3

Structure:
```
data_MgSn3
_chemical_formula_sum 'Mg2 Sn6'
_space_group_name_H-M_alt 'I m m 2'
_space_group_IT_number 44
_space_group_name_Hall 'I 2 -2'
_cell_length_a 3.377
_cell_length_b 11.289
_cell_length_c 5.456
_cell_angle_alpha 90.00
_cell_angle_beta 90.00
_cell_angle_gamma 90.00
loop_
_atom_site_label
_atom_site_type_symbol
_atom_site_fract_x
_atom_site_fract_y
_atom_site_fract_z
Mg1 Mg 0.000 0.000 0.000
Sn1 Sn 0.000 0.254 0.671
Sn2 Sn 0.000 0.500 0.999
```


Diffraction record for Ta3CoS6. The powder XRD pattern is calculated, not measured: it uses a DFT-relaxed cell (GGA-PBE, the Materials Project) and CuKα.
No peak broadening, texture or thermal motion is included.

Principal peaks in the range 10° ≤ 2θ ≤ 90°, by angle:
two_theta	d (Å)	intensity	h k l
15.0	5.924	100	0 0 2
30.2	2.962	15	0 0 4
31.0	2.884	64	1 1 0
34.6	2.593	90	1 1 2
43.8	2.066	97	1 1 4
55.2	1.665	31	3 0 0
56.5	1.629	20	1 1 6
57.5	1.603	20	3 0 2
73.0	1.297	21	2 2 4
88.3	1.107	17	3 0 8

Structure:
```
data_Ta3CoS6
_chemical_formula_sum 'Ta6 Co2 S12'
_space_group_name_H-M_alt 'P 63 2 2'
_space_group_IT_number 182
_space_group_name_Hall 'P 6c 2c'
_cell_length_a 5.7685
_cell_length_b 5.7685
_cell_length_c 11.8473
_cell_angle_alpha 90.00
_cell_angle_beta 90.00
_cell_angle_gamma 120.00
loop_
_atom_site_label
_atom_site_type_symbol
_atom_site_fract_x
_atom_site_fract_y
_atom_site_fract_z
Ta1 Ta 0.0000 0.0000 0.0000
Ta2 Ta 0.3333 0.6667 0.0020
Co1 Co 0.3333 0.6667 0.7500
S1 S 0.0012 0.3332 0.6320
```


Diffraction record for UCl6. The powder XRD pattern is calculated, not measured: it uses a DFT-relaxed cell (GGA-PBE, the Materials Project) and CuKα.
No peak broadening, texture or thermal motion is included.

Principal peaks in the range 10° ≤ 2θ ≤ 90°, by angle:
two_theta	d (Å)	intensity	h k l
15.0	5.924	100	1 1 0
16.2	5.472	70	0 1 1
22.1	4.020	29	2 0 1
26.8	3.326	29	1 2 1
29.5	3.024	21	3 0 1
31.5	2.839	19	1 1 2
34.4	2.605	18	3 1 1
38.3	2.350	30	3 0 2
41.3	2.184	17	2 2 2
49.5	1.841	18	4 1 2

Structure:
```
data_UCl6
_chemical_formula_sum 'U3 Cl18'
_space_group_name_H-M_alt 'P -3 m 1'
_space_group_IT_number 164
_space_group_name_Hall '-P 3 2"'
_cell_length_a 11.8484
_cell_length_b 11.8484
_cell_length_c 6.4680
_cell_angle_alpha 90.00
_cell_angle_beta 90.00
_cell_angle_gamma 120.00
loop_
_atom_site_label
_atom_site_type_symbol
_atom_site_fract_x
_atom_site_fract_y
_atom_site_fract_z
U1 U 0.0000 0.0000 0.0000
U2 U 0.3333 0.6667 0.4851
Cl1 Cl 0.0982 0.1963 0.2212
Cl2 Cl 0.1365 0.5682 0.2651
Cl3 Cl 0.2351 0.4702 0.7055
```


Diffraction record for RbNiBr3. The powder XRD pattern is calculated, not measured: it uses a DFT-relaxed cell (GGA-PBE, the Materials Project) and CuKα.
No peak broadening, texture or thermal motion is included.

Principal peaks in the range 10° ≤ 2θ ≤ 90°, by angle:
two_theta	d (Å)	intensity	h k l
13.7	6.445	30	1 0 0
28.4	3.141	19	0 0 2
31.2	2.867	100	2 0 1
40.1	2.249	32	2 0 2
49.0	1.860	25	2 2 0
52.1	1.756	23	2 0 3
57.6	1.601	14	2 2 2
59.2	1.561	14	4 0 1
79.9	1.200	12	2 2 4
80.3	1.196	11	4 2 1

Structure:
```
data_RbNiBr3
_chemical_formula_sum 'Rb2 Ni2 Br6'
_space_group_name_H-M_alt 'P 63/m m c'
_space_group_IT_number 194
_space_group_name_Hall '-P 6c 2c'
_cell_length_a 7.4418
_cell_length_b 7.4418
_cell_length_c 6.2812
_cell_angle_alpha 90.00
_cell_angle_beta 90.00
_cell_angle_gamma 120.00
loop_
_atom_site_label
_atom_site_type_symbol
_atom_site_fract_x
_atom_site_fract_y
_atom_site_fract_z
Rb1 Rb 0.3333 0.6667 0.2500
Ni1 Ni 0.0000 0.0000 0.0000
Br1 Br 0.1568 0.3137 0.7500
```


Diffraction record for Mg3ZrO4. The powder XRD pattern is calculated, not measured: it uses a DFT-relaxed cell (GGA-PBE, the Materials Project) and CuKα.
No peak broadening, texture or thermal motion is included.

Principal peaks in the range 10° ≤ 2θ ≤ 90°, by angle:
two_theta	d (Å)	intensity	h k l
20.0	4.449	53	1 0 0
28.4	3.146	44	1 1 0
34.9	2.569	40	1 1 1
40.6	2.224	100	2 0 0
45.6	1.990	23	2 1 0
50.2	1.816	18	2 1 1
58.7	1.573	60	2 2 0
62.6	1.483	11	3 0 0
70.2	1.341	19	3 1 1
73.8	1.284	19	2 2 2

Structure:
```
data_Mg3ZrO4
_chemical_formula_sum 'Mg3 Zr1 O4'
_space_group_name_H-M_alt 'P m -3 m'
_space_group_IT_number 221
_space_group_name_Hall '-P 4 2 3'
_cell_length_a 4.449
_cell_length_b 4.449
_cell_length_c 4.449
_cell_angle_alpha 90.00
_cell_angle_beta 90.00
_cell_angle_gamma 90.00
loop_
_atom_site_label
_atom_site_type_symbol
_atom_site_fract_x
_atom_site_fract_y
_atom_site_fract_z
Mg1 Mg 0.000 0.000 0.500
Zr1 Zr 0.500 0.500 0.500
O1 O 0.000 0.000 0.000
O2 O 0.000 0.500 0.500
```


Diffraction record for CaNd4Rh4O12. The powder XRD pattern is calculated, not measured: it uses a DFT-relaxed cell (GGA-PBE, the Materials Project) and CuKα.
No peak broadening, texture or thermal motion is included.

Principal peaks in the range 10° ≤ 2θ ≤ 90°, by angle:
two_theta	d (Å)	intensity	h k l
21.0	4.228	36	1 1 -1
29.2	3.056	32	0 0 2
29.4	3.036	85	1 2 -1
29.7	3.013	44	2 0 0
31.0	2.882	30	1 1 -2
31.6	2.833	27	0 1 2
33.6	2.670	100	1 2 1
35.2	2.551	26	2 0 -2
48.2	1.888	41	0 4 0
49.7	1.835	30	3 2 -1

Structure:
```
data_CaNd4Rh4O12
_chemical_formula_sum 'Ca1 Nd4 Rh4 O12'
_space_group_name_H-M_alt 'P 1 m 1'
_space_group_IT_number 6
_space_group_name_Hall 'P -2y'
_cell_length_a 6.301
_cell_length_b 7.556
_cell_length_c 6.391
_cell_angle_alpha 90.00
_cell_angle_beta 107.02
_cell_angle_gamma 90.00
loop_
_atom_site_label
_atom_site_type_symbol
_atom_site_fract_x
_atom_site_fract_y
_atom_site_fract_z
Ca1 Ca 0.000 0.000 0.000
Nd1 Nd 0.393 0.500 0.551
Nd2 Nd 0.434 0.000 0.740
Nd3 Nd 0.748 0.000 0.327
Nd4 Nd 0.875 0.500 0.106
Rh1 Rh 0.423 0.264 0.144
Rh2 Rh 0.941 0.271 0.669
O1 O 0.042 0.000 0.646
O2 O 0.162 0.303 0.270
O3 O 0.270 0.302 0.812
O4 O 0.352 0.000 0.085
O5 O 0.546 0.500 0.224
O6 O 0.591 0.211 0.504
O7 O 0.696 0.196 0.021
O8 O 0.814 0.500 0.724
```


Diffraction record for KAsO3. The powder XRD pattern is calculated, not measured: it uses a DFT-relaxed cell (GGA-PBE, the Materials Project) and CuKα.
No peak broadening, texture or thermal motion is included.

Principal peaks in the range 10° ≤ 2θ ≤ 90°, by angle:
two_theta	d (Å)	intensity	h k l
23.1	3.843	35	1 0 0
33.0	2.718	100	1 1 0
47.3	1.922	45	2 0 0
53.3	1.719	14	2 1 0
58.9	1.569	37	2 1 1
69.1	1.359	25	2 2 0
74.0	1.281	6	3 0 0
78.7	1.215	16	3 1 0
88.0	1.110	8	2 2 2

Structure:
```
data_KAsO3
_chemical_formula_sum 'K1 As1 O3'
_space_group_name_H-M_alt 'P m -3 m'
_space_group_IT_number 221
_space_group_name_Hall '-P 4 2 3'
_cell_length_a 3.843
_cell_length_b 3.843
_cell_length_c 3.843
_cell_angle_alpha 90.00
_cell_angle_beta 90.00
_cell_angle_gamma 90.00
loop_
_atom_site_label
_atom_site_type_symbol
_atom_site_fract_x
_atom_site_fract_y
_atom_site_fract_z
K1 K 0.000 0.000 0.000
As1 As 0.500 0.500 0.500
O1 O 0.000 0.500 0.500
```